Entry 1:
Diffraction record for PuCoRhO6. The PXRD pattern is simulated, not measured: it uses the PBE+U geometry in Alexandria and Cu Kα.
Neutral-atom scattering factors, no anomalous dispersion.

Top 10 peaks for 2θ from 10° to 90°, low angle first:
| 2theta | I_rel |
| --- | --- |
| 20.04 | 21.9 |
| 22.55 | 54.4 |
| 28.58 | 100.0 |
| 35.30 | 55.2 |
| 36.64 | 18.8 |
| 40.93 | 25.8 |
| 46.03 | 27.1 |
| 54.98 | 48.9 |
| 59.31 | 25.4 |
| 63.36 | 18.4 |

a = 5.0851 Å, b = 5.0851 Å, c = 8.8603 Å
α = 90.00°, β = 90.00°, γ = 120.00°
Fractional positions:
Pu: 0.3333 0.6667 0.2500
Pu: 0.6667 0.3333 0.7500
Co: 0.3333 0.6667 0.7500
Co: 0.6667 0.3333 0.2500
Rh: 0.0000 0.0000 0.0000
Rh: 0.0000 0.0000 0.5000
O: 0.0205 0.3483 0.6267
O: 0.0205 0.6722 0.8733
O: 0.3278 0.3483 0.8733
O: 0.3278 0.9795 0.6267
O: 0.3483 0.0205 0.1267
O: 0.3483 0.3278 0.3733
O: 0.6517 0.6722 0.6267
O: 0.6517 0.9795 0.8733
O: 0.6722 0.0205 0.3733
O: 0.6722 0.6517 0.1267
O: 0.9795 0.3278 0.1267
O: 0.9795 0.6517 0.3733

---

Entry 2:
Diffraction record for LiV2NiO6. The PXRD pattern is simulated, not measured: it uses the PBE+U geometry in Alexandria and Cu Kα.
Neutral-atom scattering factors, no anomalous dispersion.

Top 10 peaks for 2θ from 10° to 90°, low angle first:
| 2theta | I_rel |
| --- | --- |
| 13.58 | 56.5 |
| 18.96 | 32.9 |
| 20.51 | 19.3 |
| 28.32 | 100.0 |
| 28.93 | 48.4 |
| 34.79 | 33.2 |
| 36.23 | 36.5 |
| 40.84 | 23.2 |
| 46.36 | 15.5 |
| 52.98 | 22.7 |

a = 6.9174 Å, b = 6.9174 Å, c = 5.6155 Å
α = 107.96°, β = 107.96°, γ = 77.51°
Fractional positions:
Li: 0.0000 0.0000 0.0000
Li: 0.5488 0.4512 0.5000
V: 0.1105 0.3398 0.5502
V: 0.4539 0.1069 0.9839
V: 0.6602 0.8895 0.4498
V: 0.8931 0.5461 0.0161
Ni: 0.2005 0.7995 0.5000
Ni: 0.3569 0.6431 0.0000
O: 0.0740 0.7116 0.0978
O: 0.1625 0.0807 0.4362
O: 0.2797 0.5275 0.6024
O: 0.2884 0.9260 0.9022
O: 0.3043 0.3384 0.9404
O: 0.4725 0.7203 0.3976
O: 0.5768 0.1377 0.3168
O: 0.6334 0.0446 0.8054
O: 0.6616 0.6957 0.0596
O: 0.8623 0.4232 0.6832
O: 0.9193 0.8375 0.5638
O: 0.9554 0.3666 0.1946